[1]
# DyHoMg2Ge2
Computed powder diffraction line list, Cu Kα (weighted mean of Kα1 and Kα2). Input: a cell relaxed with PBE.
Lines closer than 0.1° are merged.

Crystal structure
Lattice parameters (Å, degrees): 4.1763 4.1763 15.2565 90.00 90.00 90.00
Positions (direct):
Dy  0.0000  0.0000  0.0000
Dy  0.5000  0.5000  0.5000
Ho  0.0000  0.0000  0.3398
Ho  0.5000  0.5000  0.8398
Mg  0.0000  0.5000  0.1701
Mg  0.0000  0.5000  0.6701
Mg  0.5000  0.0000  0.1701
Mg  0.5000  0.0000  0.6701
Ge  0.0000  0.0000  0.5338
Ge  0.0000  0.0000  0.8060
Ge  0.5000  0.5000  0.0338
Ge  0.5000  0.5000  0.3060

Main lines, by angle (2θ = 10–90°):
2θ/deg	intensity
11.60	49.8
27.64	53.8
30.27	100.0
32.51	56.0
35.30	35.1
36.47	43.7
38.56	65.8
43.33	58.1
47.17	36.3
57.07	35.0

[2]
# DyHoZn2Ge2
Computed powder diffraction line list, Cu Kα (weighted mean of Kα1 and Kα2). Input: a cell relaxed with PBE.
Lines closer than 0.1° are merged.

Crystal structure
Lattice parameters (Å, degrees): 4.2322 4.2322 15.5710 90.00 90.00 120.00
Positions (direct):
Dy  0.0000  0.0000  0.0000
Dy  0.0000  0.0000  0.5000
Ho  0.0000  0.0000  0.2500
Ho  0.0000  0.0000  0.7500
Zn  0.3333  0.6667  0.1476
Zn  0.3333  0.6667  0.3524
Zn  0.6667  0.3333  0.6476
Zn  0.6667  0.3333  0.8524
Ge  0.3333  0.6667  0.6139
Ge  0.3333  0.6667  0.8861
Ge  0.6667  0.3333  0.1139
Ge  0.6667  0.3333  0.3861

Main lines, by angle (2θ = 10–90°):
2θ/deg	intensity
24.28	16.8
33.58	100.0
42.73	47.1
46.67	8.3
53.29	6.9
55.41	23.8
65.11	18.3
72.41	21.2
78.14	5.7
78.25	7.7

[3]
# Dy2In3Ge2
Computed powder diffraction line list, Cu Kα (weighted mean of Kα1 and Kα2). Input: a cell relaxed with PBE.
Lines closer than 0.1° are merged.

Crystal structure
Lattice parameters (Å, degrees): 10.7634 4.3205 7.1246 90.00 98.93 90.00
Positions (direct):
Dy  0.1172  0.0000  0.3246
Dy  0.3828  0.5000  0.6754
Dy  0.6172  0.5000  0.3246
Dy  0.8828  0.0000  0.6754
In  0.0000  0.5000  0.0000
In  0.1972  0.0000  0.8567
In  0.3028  0.5000  0.1433
In  0.5000  0.0000  0.0000
In  0.6972  0.5000  0.8567
In  0.8028  0.0000  0.1433
Ge  0.1001  0.5000  0.6156
Ge  0.3999  0.0000  0.3844
Ge  0.6001  0.0000  0.6156
Ge  0.8999  0.5000  0.3844

Main lines, by angle (2θ = 10–90°):
2θ/deg	intensity
32.66	50.2
32.89	100.0
33.67	14.4
34.16	24.2
36.59	47.8
39.17	18.5
41.82	29.6
44.57	11.9
55.05	12.1
64.43	15.2

[4]
# DyInGe
Computed powder diffraction line list, Cu Kα (weighted mean of Kα1 and Kα2). Input: a cell relaxed with PBE.
Lines closer than 0.1° are merged.

Crystal structure
Lattice parameters (Å, degrees): 7.5934 7.5934 4.2050 90.00 90.00 120.00
Positions (direct):
Dy  0.0000  0.3870  0.0000
Dy  0.3870  0.0000  0.0000
Dy  0.6130  0.6130  0.0000
In  0.0000  0.7324  0.5000
In  0.2676  0.2676  0.5000
In  0.7324  0.0000  0.5000
Ge  0.0000  0.0000  0.0000
Ge  0.3333  0.6667  0.5000
Ge  0.6667  0.3333  0.5000

Main lines, by angle (2θ = 10–90°):
2θ/deg	intensity
31.75	100.0
34.63	42.4
36.14	27.8
41.18	33.2
42.24	11.4
43.02	19.5
57.40	14.3
61.07	20.5
65.76	19.3
71.78	11.7

[5]
# Dy2Tm2InGe4Pd2
Computed powder diffraction line list, Cu Kα (weighted mean of Kα1 and Kα2). Input: a cell relaxed with PBE.
Lines closer than 0.1° are merged.

Crystal structure
Lattice parameters (Å, degrees): 8.2000 8.2000 7.0916 107.33 107.33 30.15
Positions (direct):
Dy  0.0884  0.0884  0.3845
Dy  0.9116  0.9116  0.6155
Tm  0.1569  0.1569  0.9257
Tm  0.8431  0.8431  0.0743
In  0.5000  0.5000  0.0000
Ge  0.3079  0.3079  0.7577
Ge  0.4394  0.4394  0.3363
Ge  0.5606  0.5606  0.6637
Ge  0.6921  0.6921  0.2423
Pd  0.2827  0.2827  0.3558
Pd  0.7173  0.7173  0.6442

Main lines, by angle (2θ = 10–90°):
2θ/deg	intensity
32.90	100.0
34.05	24.5
34.27	74.9
35.54	61.5
35.86	76.7
36.52	42.9
37.48	25.8
39.85	24.6
42.11	30.1
42.38	61.4

[6]
# Dy3Ge13Ir4
Computed powder diffraction line list, Cu Kα (weighted mean of Kα1 and Kα2). Input: a cell relaxed with PBE.
Lines closer than 0.1° are merged.

Crystal structure
Lattice parameters (Å, degrees): 9.0264 9.0264 9.0264 90.00 90.00 90.00
Positions (direct):
Dy  0.0000  0.2500  0.5000
Dy  0.0000  0.7500  0.5000
Dy  0.2500  0.5000  0.0000
Dy  0.5000  0.0000  0.2500
Dy  0.5000  0.0000  0.7500
Dy  0.7500  0.5000  0.0000
Ge  0.0000  0.0000  0.0000
Ge  0.0000  0.3070  0.1446
Ge  0.0000  0.3070  0.8554
Ge  0.0000  0.6930  0.1446
Ge  0.0000  0.6930  0.8554
Ge  0.1446  0.0000  0.3070
Ge  0.1446  0.0000  0.6930
Ge  0.1930  0.5000  0.3554
Ge  0.1930  0.5000  0.6446
Ge  0.3070  0.1446  0.0000
Ge  0.3070  0.8554  0.0000
Ge  0.3554  0.1930  0.5000
Ge  0.3554  0.8070  0.5000
Ge  0.5000  0.3554  0.1930
Ge  0.5000  0.3554  0.8070
Ge  0.5000  0.5000  0.5000
Ge  0.5000  0.6446  0.1930
Ge  0.5000  0.6446  0.8070
Ge  0.6446  0.1930  0.5000
Ge  0.6446  0.8070  0.5000
Ge  0.6930  0.1446  0.0000
Ge  0.6930  0.8554  0.0000
Ge  0.8070  0.5000  0.3554
Ge  0.8070  0.5000  0.6446
Ge  0.8554  0.0000  0.3070
Ge  0.8554  0.0000  0.6930
Ir  0.2500  0.2500  0.2500
Ir  0.2500  0.2500  0.7500
Ir  0.2500  0.7500  0.2500
Ir  0.2500  0.7500  0.7500
Ir  0.7500  0.2500  0.2500
Ir  0.7500  0.2500  0.7500
Ir  0.7500  0.7500  0.2500
Ir  0.7500  0.7500  0.7500

Main lines, by angle (2θ = 10–90°):
2θ/deg	intensity
19.67	46.1
27.96	26.4
34.42	56.6
35.87	100.0
37.27	40.2
39.95	55.4
44.91	39.2
49.47	52.4
57.78	22.0
69.02	39.1

[7]
# Dy5Ge10Ir4
Computed powder diffraction line list, Cu Kα (weighted mean of Kα1 and Kα2). Input: a cell relaxed with PBE.
Lines closer than 0.1° are merged.

Crystal structure
Lattice parameters (Å, degrees): 13.0368 13.0368 4.3333 90.00 90.00 90.00
Positions (direct):
Dy  0.0000  0.0000  0.0000
Dy  0.1151  0.3849  0.5000
Dy  0.1739  0.6739  0.5000
Dy  0.3261  0.1739  0.5000
Dy  0.3849  0.8849  0.5000
Dy  0.5000  0.5000  0.0000
Dy  0.6151  0.1151  0.5000
Dy  0.6739  0.8261  0.5000
Dy  0.8261  0.3261  0.5000
Dy  0.8849  0.6151  0.5000
Ge  0.0060  0.8441  0.5000
Ge  0.0672  0.5672  0.0000
Ge  0.1559  0.0060  0.5000
Ge  0.1634  0.2000  0.0000
Ge  0.2000  0.8366  0.0000
Ge  0.3000  0.3366  0.0000
Ge  0.3366  0.7000  0.0000
Ge  0.3441  0.5060  0.5000
Ge  0.4328  0.0672  0.0000
Ge  0.4940  0.3441  0.5000
Ge  0.5060  0.6559  0.5000
Ge  0.5672  0.9328  0.0000
Ge  0.6559  0.4940  0.5000
Ge  0.6634  0.3000  0.0000
Ge  0.7000  0.6634  0.0000
Ge  0.8000  0.1634  0.0000
Ge  0.8366  0.8000  0.0000
Ge  0.8441  0.9940  0.5000
Ge  0.9328  0.4328  0.0000
Ge  0.9940  0.1559  0.5000
Ir  0.0201  0.7539  0.0000
Ir  0.2461  0.0201  0.0000
Ir  0.2539  0.5201  0.0000
Ir  0.4799  0.2539  0.0000
Ir  0.5201  0.7461  0.0000
Ir  0.7461  0.4799  0.0000
Ir  0.7539  0.9799  0.0000
Ir  0.9799  0.2461  0.0000

Main lines, by angle (2θ = 10–90°):
2θ/deg	intensity
19.26	22.6
32.24	27.3
34.43	100.0
35.12	63.7
35.82	69.7
41.69	55.7
43.92	23.7
44.51	32.2
55.56	27.0
67.85	25.5

[8]
# SmDyGe2Ir
Computed powder diffraction line list, Cu Kα (weighted mean of Kα1 and Kα2). Input: a cell relaxed with PBE.
Lines closer than 0.1° are merged.

Crystal structure
Lattice parameters (Å, degrees): 5.7602 5.7602 10.4463 115.08 115.08 44.09
Positions (direct):
Sm  0.0071  0.0071  0.3284
Sm  0.9929  0.9929  0.6716
Dy  0.1891  0.1891  0.1187
Dy  0.8109  0.8109  0.8813
Ge  0.3502  0.3502  0.4458
Ge  0.4805  0.4805  0.1140
Ge  0.5195  0.5195  0.8860
Ge  0.6498  0.6498  0.5542
Ir  0.2725  0.2725  0.6667
Ir  0.7275  0.7275  0.3333

Main lines, by angle (2θ = 10–90°):
2θ/deg	intensity
26.77	23.7
32.49	80.8
33.23	100.0
33.63	30.8
36.41	36.7
38.77	22.3
39.93	91.5
41.79	76.3
64.82	24.9
70.44	25.7

[9]
# K2Dy3Ge2S8
Computed powder diffraction line list, Cu Kα (weighted mean of Kα1 and Kα2). Input: a cell relaxed with PBE.
Lines closer than 0.1° are merged.

Crystal structure
Lattice parameters (Å, degrees): 7.0351 7.0351 8.3343 93.26 93.26 69.65
Positions (direct):
K  0.2335  0.2335  0.2312
K  0.7665  0.7665  0.7688
Dy  0.2729  0.7271  0.5000
Dy  0.2974  0.7026  0.0000
Dy  0.7819  0.2181  0.5000
Ge  0.2461  0.2813  0.7207
Ge  0.7187  0.7539  0.2793
S  0.0088  0.9332  0.2694
S  0.0203  0.4713  0.5123
S  0.0668  0.9912  0.7306
S  0.0876  0.4588  0.9451
S  0.5080  0.4748  0.7289
S  0.5252  0.4920  0.2711
S  0.5287  0.9797  0.4877
S  0.5412  0.9124  0.0549

Main lines, by angle (2θ = 10–90°):
2θ/deg	intensity
10.64	19.0
13.43	18.5
15.38	12.3
16.83	21.5
25.54	13.6
27.06	20.3
30.99	100.0
43.27	21.2
43.54	11.9
45.53	21.5

[10]
# DyLu2Ge4Pd4
Computed powder diffraction line list, Cu Kα (weighted mean of Kα1 and Kα2). Input: a cell relaxed with PBE.
Lines closer than 0.1° are merged.

Crystal structure
Lattice parameters (Å, degrees): 8.0581 8.0581 8.0581 150.32 127.57 61.40
Positions (direct):
Dy  0.0000  0.0000  0.0000
Lu  0.3743  0.8743  0.5000
Lu  0.6257  0.1257  0.5000
Ge  0.2187  0.2187  0.0000
Ge  0.3136  0.5000  0.8136
Ge  0.6864  0.5000  0.1864
Ge  0.7813  0.7813  0.0000
Pd  0.0271  0.3248  0.7022
Pd  0.3774  0.6752  0.7022
Pd  0.6226  0.3248  0.2978
Pd  0.9729  0.6752  0.2978

Main lines, by angle (2θ = 10–90°):
2θ/deg	intensity
33.88	100.0
34.74	29.6
36.13	86.9
38.68	24.9
39.00	15.7
42.85	34.0
43.87	38.2
57.14	14.2
63.00	21.5
75.83	15.2

[11]
# NaDyGe
Computed powder diffraction line list, Cu Kα (weighted mean of Kα1 and Kα2). Input: a cell relaxed with PBE.
Lines closer than 0.1° are merged.

Crystal structure
Lattice parameters (Å, degrees): 6.8916 6.8916 6.8916 90.00 90.00 90.00
Positions (direct):
Na  0.0000  0.0000  0.0000
Na  0.0000  0.5000  0.5000
Na  0.5000  0.0000  0.5000
Na  0.5000  0.5000  0.0000
Dy  0.0000  0.0000  0.5000
Dy  0.0000  0.5000  0.0000
Dy  0.5000  0.0000  0.0000
Dy  0.5000  0.5000  0.5000
Ge  0.2500  0.2500  0.7500
Ge  0.2500  0.7500  0.2500
Ge  0.7500  0.2500  0.2500
Ge  0.7500  0.7500  0.7500

Main lines, by angle (2θ = 10–90°):
2θ/deg	intensity
22.34	85.5
25.86	22.2
36.89	100.0
43.56	44.9
53.16	17.3
58.37	19.1
66.46	34.9
71.08	14.3
78.51	10.8
82.87	14.5

[12]
# Dy2Nb3Ge4
Computed powder diffraction line list, Cu Kα (weighted mean of Kα1 and Kα2). Input: a cell relaxed with PBE.
Lines closer than 0.1° are merged.

Crystal structure
Lattice parameters (Å, degrees): 7.0130 13.5712 7.1879 90.00 90.00 90.00
Positions (direct):
Dy  0.0024  0.0950  0.1735
Dy  0.0024  0.4050  0.1735
Dy  0.4976  0.5950  0.6735
Dy  0.4976  0.9050  0.6735
Dy  0.5024  0.0950  0.3265
Dy  0.5024  0.4050  0.3265
Dy  0.9976  0.5950  0.8265
Dy  0.9976  0.9050  0.8265
Nb  0.1599  0.6266  0.3283
Nb  0.1599  0.8734  0.3283
Nb  0.1647  0.2500  0.5116
Nb  0.3353  0.7500  0.0116
Nb  0.3401  0.1266  0.8283
Nb  0.3401  0.3734  0.8283
Nb  0.6599  0.6266  0.1717
Nb  0.6599  0.8734  0.1717
Nb  0.6647  0.2500  0.9884
Nb  0.8353  0.7500  0.4884
Nb  0.8401  0.1266  0.6717
Nb  0.8401  0.3734  0.6717
Ge  0.0396  0.2500  0.8794
Ge  0.1733  0.0417  0.5387
Ge  0.1733  0.4583  0.5387
Ge  0.1958  0.7500  0.6378
Ge  0.3042  0.2500  0.1378
Ge  0.3267  0.5417  0.0387
Ge  0.3267  0.9583  0.0387
Ge  0.4604  0.7500  0.3794
Ge  0.5396  0.2500  0.6206
Ge  0.6733  0.0417  0.9613
Ge  0.6733  0.4583  0.9613
Ge  0.6958  0.7500  0.8622
Ge  0.8042  0.2500  0.3622
Ge  0.8267  0.5417  0.4613
Ge  0.8267  0.9583  0.4613
Ge  0.9604  0.7500  0.1206

Main lines, by angle (2θ = 10–90°):
2θ/deg	intensity
34.34	100.0
34.69	96.7
36.41	51.8
38.69	20.0
39.01	22.1
39.81	46.0
40.33	30.4
40.58	53.6
57.57	18.6
61.83	23.2

Please write out number 4 again, unchanged.
# DyInGe
Computed powder diffraction line list, Cu Kα (weighted mean of Kα1 and Kα2). Input: a cell relaxed with PBE.
Lines closer than 0.1° are merged.

Crystal structure
Lattice parameters (Å, degrees): 7.5934 7.5934 4.2050 90.00 90.00 120.00
Positions (direct):
Dy  0.0000  0.3870  0.0000
Dy  0.3870  0.0000  0.0000
Dy  0.6130  0.6130  0.0000
In  0.0000  0.7324  0.5000
In  0.2676  0.2676  0.5000
In  0.7324  0.0000  0.5000
Ge  0.0000  0.0000  0.0000
Ge  0.3333  0.6667  0.5000
Ge  0.6667  0.3333  0.5000

Main lines, by angle (2θ = 10–90°):
2θ/deg	intensity
31.75	100.0
34.63	42.4
36.14	27.8
41.18	33.2
42.24	11.4
43.02	19.5
57.40	14.3
61.07	20.5
65.76	19.3
71.78	11.7